This entry pairs a crystal structure of GeWO4 with its calculated XRD peak list. Radiation: Cu Kα (weighted mean of Kα1 and Kα2). Structure: DFT lattice parameters and positions (GGA+U).
Lines closer than 0.1° are merged.

Main lines, by intensity (10° ≤ 2θ ≤ 80°):
2θ (°)  I (rel.)  hkl
28.32  100  1 2 1
25.01  70  1 1 1
15.11  45  0 2 0
30.49  33  0 4 0
33.01  26  2 1 0
49.39  25  2 1 2
33.17  22  1 3 1
52.86  20  1 6 1
54.43  19  2 3 2
47.62  16  0 4 2

Cell and atoms:
abc: 5.578 11.727 5.034
angles: 90.00 90.00 90.00
Element x y z (fractional)
Ge1 0.250 0.000 0.171
Ge2 0.250 0.500 0.329
Ge3 0.750 0.000 0.829
Ge4 0.750 0.500 0.671
W1 0.127 0.250 0.750
W2 0.373 0.750 0.750
W3 0.627 0.250 0.250
W4 0.873 0.750 0.250
O1 0.097 0.098 0.900
O2 0.097 0.402 0.600
O3 0.141 0.704 0.002
O4 0.141 0.796 0.498
O5 0.359 0.204 0.498
O6 0.359 0.296 0.002
O7 0.403 0.598 0.600
O8 0.403 0.902 0.900
O9 0.597 0.098 0.100
O10 0.597 0.402 0.400
O11 0.641 0.704 0.998
O12 0.641 0.796 0.502
O13 0.859 0.204 0.502
O14 0.859 0.296 0.998
O15 0.903 0.598 0.400
O16 0.903 0.902 0.100